Record 1
Computed powder diffractogram
Compound: TlInBiPb
Radiation: Cu Kα (weighted mean of Kα1 and Kα2)
Structure: a GGA-PBE-relaxed structure
No peak broadening, texture or thermal motion is included.

```
data_TlInBiPb
_space_group_name_H-M_alt 'I m m 2'
_space_group_IT_number 44
_cell_length_a 4.6865
_cell_length_b 4.9945
_cell_length_c 10.5997
_cell_angle_alpha 90.00
_cell_angle_beta 90.00
_cell_angle_gamma 90.00
loop_
_space_group_symop_operation_xyz
'x,y,z'
'-x,-y,z'
'-x,y,z'
'x,-y,z'
'x+1/2,y+1/2,z+1/2'
'-x+1/2,-y+1/2,z+1/2'
'-x+1/2,y+1/2,z+1/2'
'x+1/2,-y+1/2,z+1/2'
loop_
_atom_site_label
_atom_site_type_symbol
_atom_site_fract_x
_atom_site_fract_y
_atom_site_fract_z
Tl1 Tl 0.0000 0.0000 0.0000
In1 In 0.0000 0.0000 0.5006
Bi1 Bi 0.0000 0.5000 0.2469
Pb1 Pb 0.0000 0.5000 0.7509
```

Principal peaks in the range 10 to 90 degrees two-theta, in order of rising 2θ:
2θ = 31.14°, I 100, (1 1 2); 2θ = 33.83°, I 20, (0 0 4); 2θ = 35.96°, I 17, (0 2 0); 2θ = 58.84°, I 17, (1 1 6); 2θ = 61.66°, I 15, (1 3 2); 2θ = 64.96°, I 25, (3 1 2)


Record 2
Computed powder diffractogram
Compound: Tl5In2BiPb
Radiation: Cu Kα (weighted mean of Kα1 and Kα2)
Structure: a GGA-PBE-relaxed structure
No peak broadening, texture or thermal motion is included.

```
data_Tl5In2BiPb
_space_group_name_H-M_alt 'I 4/m c m'
_space_group_IT_number 140
_space_group_name_Hall '-I 4 2c'
_cell_length_a 7.7053
_cell_length_b 7.7053
_cell_length_c 19.5992
_cell_angle_alpha 90.00
_cell_angle_beta 90.00
_cell_angle_gamma 90.00
loop_
_atom_site_label
_atom_site_type_symbol
_atom_site_fract_x
_atom_site_fract_y
_atom_site_fract_z
Tl1 Tl 0.0000 0.0000 0.0000
Tl2 Tl 0.2312 0.2688 0.1404
In1 In 0.1319 0.3681 0.5000
Bi1 Bi 0.0000 0.5000 0.2500
Pb1 Pb 0.0000 0.0000 0.2500
```

Principal peaks in the range 10 to 90 degrees two-theta, in order of rising 2θ:
2θ = 29.49°, I 100, (2 0 4); 2θ = 32.88°, I 41, (2 2 0); 2θ = 36.05°, I 15, (2 0 6); 2θ = 36.68°, I 17, (0 0 8); 2θ = 50.07°, I 18, (2 2 8); 2θ = 56.63°, I 31, (4 2 4)


Record 3
Computed powder diffractogram
Compound: Tl4In2Bi2Pb
Radiation: Cu Kα (weighted mean of Kα1 and Kα2)
Structure: a GGA-PBE-relaxed structure
No peak broadening, texture or thermal motion is included.

```
data_Tl4In2Bi2Pb
_space_group_name_H-M_alt 'P -1'
_space_group_IT_number 2
_cell_length_a 6.7403
_cell_length_b 6.7559
_cell_length_c 6.8494
_cell_angle_alpha 81.15
_cell_angle_beta 80.68
_cell_angle_gamma 74.05
loop_
_space_group_symop_operation_xyz
'x,y,z'
'-x,-y,-z'
loop_
_atom_site_label
_atom_site_type_symbol
_atom_site_fract_x
_atom_site_fract_y
_atom_site_fract_z
Tl1 Tl 0.1607 0.3840 0.1989
Tl2 Tl 0.2863 0.8514 0.0843
In1 In 0.3878 0.6787 0.6567
Bi1 Bi 0.2722 0.2412 0.7150
Pb1 Pb 0.0000 0.0000 0.5000
```

Principal peaks in the range 10 to 90 degrees two-theta, in order of rising 2θ:
2θ = 27.59°, I 96, (1 2 0); 2θ = 28.40°, I 59, (1 0 2); 2θ = 28.53°, I 65, (0 1 2); 2θ = 29.26°, I 100, (2 0 1); 2θ = 33.95°, I 60, (2 2 0); 2θ = 34.37°, I 62, (1 1 -2)


Record 4
Computed powder diffractogram
Compound: TlInBiPb2
Radiation: Cu Kα (weighted mean of Kα1 and Kα2)
Structure: a GGA-PBE-relaxed structure
No peak broadening, texture or thermal motion is included.

```
data_TlInBiPb2
_space_group_name_H-M_alt 'C m c m'
_space_group_IT_number 63
_space_group_name_Hall '-C 2c 2'
_cell_length_a 7.0547
_cell_length_b 14.5171
_cell_length_c 6.8854
_cell_angle_alpha 90.00
_cell_angle_beta 90.00
_cell_angle_gamma 90.00
loop_
_atom_site_label
_atom_site_type_symbol
_atom_site_fract_x
_atom_site_fract_y
_atom_site_fract_z
Tl1 Tl 0.0000 0.2377 0.2500
In1 In 0.0000 0.1402 0.7500
Bi1 Bi 0.0000 0.3487 0.7500
Pb1 Pb 0.2483 0.5000 0.0000
```

Principal peaks in the range 10 to 90 degrees two-theta, in order of rising 2θ:
2θ = 25.81°, I 51, (1 3 1); 2θ = 28.13°, I 100, (2 2 0); 2θ = 28.70°, I 95, (0 2 2); 2θ = 35.92°, I 82, (1 5 1); 2θ = 36.47°, I 92, (2 0 2); 2θ = 51.80°, I 37, (4 0 0)


Record 5
Computed powder diffractogram
Compound: InBiPd5
Radiation: Cu Kα (weighted mean of Kα1 and Kα2)
Structure: a GGA-PBE-relaxed structure
No peak broadening, texture or thermal motion is included.

```
data_InBiPd5
_space_group_name_H-M_alt 'C m c m'
_space_group_IT_number 63
_space_group_name_Hall '-C 2c 2'
_cell_length_a 7.7605
_cell_length_b 5.7774
_cell_length_c 11.6796
_cell_angle_alpha 90.00
_cell_angle_beta 90.00
_cell_angle_gamma 90.00
loop_
_atom_site_label
_atom_site_type_symbol
_atom_site_fract_x
_atom_site_fract_y
_atom_site_fract_z
In1 In 0.0000 0.0014 0.2500
Bi1 Bi 0.0000 0.5000 0.0000
Pd1 Pd 0.0000 0.4993 0.7500
Pd2 Pd 0.2497 0.2489 0.6251
```

Principal peaks in the range 10 to 90 degrees two-theta, in order of rising 2θ:
2θ = 19.15°, I 30, (1 1 0); 2θ = 24.52°, I 39, (1 1 2); 2θ = 38.59°, I 100, (2 0 4); 2θ = 38.87°, I 98, (2 2 0); 2θ = 44.10°, I 68, (0 2 4); 2θ = 66.27°, I 40, (4 2 4)


Record 6
Computed powder diffractogram
Compound: InBiPd2
Radiation: Cu Kα (weighted mean of Kα1 and Kα2)
Structure: a GGA-PBE-relaxed structure
No peak broadening, texture or thermal motion is included.

```
data_InBiPd2
_space_group_name_H-M_alt 'I -4 2 d'
_space_group_IT_number 122
_space_group_name_Hall 'I -4 2bw'
_cell_length_a 4.4806
_cell_length_b 4.4806
_cell_length_c 18.0411
_cell_angle_alpha 90.00
_cell_angle_beta 90.00
_cell_angle_gamma 90.00
loop_
_atom_site_label
_atom_site_type_symbol
_atom_site_fract_x
_atom_site_fract_y
_atom_site_fract_z
In1 In 0.0000 0.0000 0.0000
Bi1 Bi 0.0000 0.0000 0.5000
Pd1 Pd 0.2463 0.2500 0.1250
```

Principal peaks in the range 10 to 90 degrees two-theta, in order of rising 2θ:
2θ = 29.89°, I 100, (1 1 2); 2θ = 39.98°, I 22, (0 0 8); 2θ = 41.40°, I 41, (1 1 6); 2θ = 45.19°, I 62, (2 0 4); 2θ = 58.25°, I 16, (2 2 0); 2θ = 66.84°, I 20, (3 1 2)


Record 7
Computed powder diffractogram
Compound: InBi3Pd4
Radiation: Cu Kα (weighted mean of Kα1 and Kα2)
Structure: a GGA-PBE-relaxed structure
No peak broadening, texture or thermal motion is included.

```
data_InBi3Pd4
_space_group_name_H-M_alt 'I m m 2'
_space_group_IT_number 44
_cell_length_a 5.9485
_cell_length_b 10.3762
_cell_length_c 5.7600
_cell_angle_alpha 90.00
_cell_angle_beta 90.00
_cell_angle_gamma 90.00
loop_
_space_group_symop_operation_xyz
'x,y,z'
'-x,-y,z'
'-x,y,z'
'x,-y,z'
'x+1/2,y+1/2,z+1/2'
'-x+1/2,-y+1/2,z+1/2'
'-x+1/2,y+1/2,z+1/2'
'x+1/2,-y+1/2,z+1/2'
loop_
_atom_site_label
_atom_site_type_symbol
_atom_site_fract_x
_atom_site_fract_y
_atom_site_fract_z
In1 In 0.0000 0.0000 0.0000
Bi1 Bi 0.0000 0.2093 0.4330
Bi2 Bi 0.0000 0.5000 0.6868
Pd1 Pd 0.0000 0.2639 0.9472
Pd2 Pd 0.2443 0.5000 0.1069
```

Principal peaks in the range 10 to 90 degrees two-theta, in order of rising 2θ:
2θ = 27.57°, I 37, (1 2 1); 2θ = 30.07°, I 60, (2 0 0); 2θ = 34.58°, I 49, (0 4 0); 2θ = 35.04°, I 42, (2 1 1); 2θ = 35.67°, I 100, (0 2 2); 2θ = 43.08°, I 58, (2 3 1)


Record 8
Computed powder diffractogram
Compound: InBi3Pd12
Radiation: Cu Kα (weighted mean of Kα1 and Kα2)
Structure: a GGA-PBE-relaxed structure
No peak broadening, texture or thermal motion is included.

```
data_InBi3Pd12
_space_group_name_H-M_alt 'P 4/m m m'
_space_group_IT_number 123
_space_group_name_Hall '-P 4 2'
_cell_length_a 4.1192
_cell_length_b 4.1192
_cell_length_c 16.3925
_cell_angle_alpha 90.00
_cell_angle_beta 90.00
_cell_angle_gamma 90.00
loop_
_atom_site_label
_atom_site_type_symbol
_atom_site_fract_x
_atom_site_fract_y
_atom_site_fract_z
In1 In 0.0000 0.0000 0.0000
Bi1 Bi 0.0000 0.0000 0.2432
Bi2 Bi 0.0000 0.0000 0.5000
Pd1 Pd 0.0000 0.5000 0.1206
Pd2 Pd 0.0000 0.5000 0.3737
Pd3 Pd 0.5000 0.5000 0.0000
Pd4 Pd 0.5000 0.5000 0.2500
Pd5 Pd 0.5000 0.5000 0.5000
```

Principal peaks in the range 10 to 90 degrees two-theta, in order of rising 2θ:
2θ = 37.90°, I 100, (1 1 4); 2θ = 43.96°, I 33, (2 0 0); 2θ = 44.20°, I 16, (0 0 8); 2θ = 64.11°, I 21, (2 0 8); 2θ = 76.78°, I 25, (3 1 4); 2θ = 77.12°, I 12, (1 1 12)


Record 9
Computed powder diffractogram
Compound: SrInBiPd3
Radiation: Cu Kα (weighted mean of Kα1 and Kα2)
Structure: a GGA-PBE-relaxed structure
No peak broadening, texture or thermal motion is included.

```
data_SrInBiPd3
_space_group_name_H-M_alt 'C m c m'
_space_group_IT_number 63
_space_group_name_Hall '-C 2c 2'
_cell_length_a 5.8463
_cell_length_b 17.9860
_cell_length_c 5.9209
_cell_angle_alpha 90.00
_cell_angle_beta 90.00
_cell_angle_gamma 90.00
loop_
_atom_site_label
_atom_site_type_symbol
_atom_site_fract_x
_atom_site_fract_y
_atom_site_fract_z
Sr1 Sr 0.0000 0.2167 0.2500
In1 In 0.0000 0.4009 0.7500
Bi1 Bi 0.0000 0.1012 0.7500
Pd1 Pd 0.0000 0.2528 0.7500
Pd2 Pd 0.2494 0.5000 0.0000
```

Principal peaks in the range 10 to 90 degrees two-theta, in order of rising 2θ:
2θ = 21.93°, I 96, (1 1 1); 2θ = 26.07°, I 100, (1 3 1); 2θ = 41.30°, I 68, (1 7 1); 2θ = 42.94°, I 68, (0 6 2); 2θ = 43.23°, I 67, (2 6 0); 2θ = 43.51°, I 96, (2 0 2)


Record 10
Computed powder diffractogram
Compound: PmInBi2
Radiation: Cu Kα (weighted mean of Kα1 and Kα2)
Structure: a GGA-PBE-relaxed structure
No peak broadening, texture or thermal motion is included.

```
data_PmInBi2
_space_group_name_H-M_alt 'P m m n'
_space_group_IT_number 59
_cell_length_a 5.9069
_cell_length_b 6.6613
_cell_length_c 6.0708
_cell_angle_alpha 90.00
_cell_angle_beta 90.00
_cell_angle_gamma 90.00
loop_
_space_group_symop_operation_xyz
'x,y,z'
'-x,-y,-z'
'-x+1/2,-y+1/2,z'
'x+1/2,y+1/2,-z'
'x+1/2,-y,-z'
'-x+1/2,y,z'
'-x,y+1/2,-z'
'x,-y+1/2,z'
loop_
_atom_site_label
_atom_site_type_symbol
_atom_site_fract_x
_atom_site_fract_y
_atom_site_fract_z
Pm1 Pm 0.2500 0.2500 0.1545
In1 In 0.2500 0.7500 0.1606
Bi1 Bi 0.2500 0.5053 0.6677
```

Principal peaks in the range 10 to 90 degrees two-theta, in order of rising 2θ:
2θ = 30.26°, I 47, (2 0 0); 2θ = 30.62°, I 24, (0 2 1); 2θ = 33.18°, I 58, (1 0 2); 2θ = 34.26°, I 100, (1 2 1); 2θ = 56.36°, I 24, (3 2 1); 2θ = 62.20°, I 24, (2 2 3)


Record 11
Computed powder diffractogram
Compound: Pm4InBi3
Radiation: Cu Kα (weighted mean of Kα1 and Kα2)
Structure: a GGA-PBE-relaxed structure
No peak broadening, texture or thermal motion is included.

```
data_Pm4InBi3
_space_group_name_H-M_alt 'P m -3 m'
_space_group_IT_number 221
_space_group_name_Hall '-P 4 2 3'
_cell_length_a 6.4514
_cell_length_b 6.4514
_cell_length_c 6.4514
_cell_angle_alpha 90.00
_cell_angle_beta 90.00
_cell_angle_gamma 90.00
loop_
_atom_site_label
_atom_site_type_symbol
_atom_site_fract_x
_atom_site_fract_y
_atom_site_fract_z
Pm1 Pm 0.0000 0.0000 0.0000
Pm2 Pm 0.0000 0.5000 0.5000
In1 In 0.5000 0.5000 0.5000
Bi1 Bi 0.0000 0.0000 0.5000
```

Principal peaks in the range 10 to 90 degrees two-theta, in order of rising 2θ:
2θ = 27.65°, I 100, (2 0 0); 2θ = 39.51°, I 78, (2 2 0); 2θ = 48.91°, I 28, (2 2 2); 2θ = 57.11°, I 13, (4 0 0); 2θ = 64.61°, I 37, (4 2 0); 2θ = 71.66°, I 28, (4 2 2)


Record 12
Computed powder diffractogram
Compound: Pr8InBi6
Radiation: Cu Kα (weighted mean of Kα1 and Kα2)
Structure: a GGA-PBE-relaxed structure
No peak broadening, texture or thermal motion is included.

```
data_Pr8InBi6
_space_group_name_H-M_alt 'R -3'
_space_group_IT_number 148
_space_group_name_Hall '-R 3'
_cell_length_a 9.7150
_cell_length_b 9.7150
_cell_length_c 19.6295
_cell_angle_alpha 90.00
_cell_angle_beta 90.00
_cell_angle_gamma 120.00
loop_
_atom_site_label
_atom_site_type_symbol
_atom_site_fract_x
_atom_site_fract_y
_atom_site_fract_z
Pr1 Pr 0.0000 0.0000 0.1665
Pr2 Pr 0.0065 0.2729 0.5900
In1 In 0.0000 0.0000 0.5000
Bi1 Bi 0.0055 0.3827 0.4232
```

Principal peaks in the range 10 to 90 degrees two-theta, in order of rising 2θ:
2θ = 18.26°, I 31, (1 1 0); 2θ = 22.80°, I 35, (1 1 3); 2θ = 27.26°, I 39, (0 0 6); 2θ = 29.53°, I 42, (1 2 2); 2θ = 31.91°, I 99, (3 0 0); 2θ = 33.01°, I 100, (1 1 6)